1.
This entry pairs a crystal structure of La2Tm4Sc with its simulated powder diffractogram. Radiation: Cu Kα. Structure: a PBE-relaxed structure.
Neutral-atom scattering factors, no anomalous dispersion.

Main lines, sorted by position (10° ≤ 2θ ≤ 80°):
2θ 15.15, rel. 38
2θ 27.68, rel. 64
2θ 30.34, rel. 61
2θ 30.59, rel. 96
2θ 31.28, rel. 91
2θ 34.91, rel. 100
2θ 35.21, rel. 41
2θ 56.90, rel. 26

Structure:
```
La2Tm4Sc
1.0
3.2724 -5.8919 0.0000
3.2724 5.8919 0.0000
0.0000 0.0000 11.7000
La Tm Sc
4 8 2
Cartesian
3.2724 5.8278 8.7750 La
3.2724 2.4324 2.9250 La
3.2724 -2.4324 8.7750 La
3.2724 -5.8278 2.9250 La
3.2724 3.1295 6.4342 Tm
3.2724 3.1295 11.1159 Tm
1.7615 0.0000 0.0000 Tm
1.7615 0.0000 5.8500 Tm
4.7832 0.0000 0.0000 Tm
4.7832 0.0000 5.8500 Tm
3.2724 -3.1295 0.5842 Tm
3.2724 -3.1295 5.2658 Tm
3.2724 1.0113 8.7750 Sc
3.2724 -1.0113 2.9250 Sc
```

---

2.
This entry pairs a crystal structure of PmTh2Te5 with its simulated powder diffractogram. Radiation: Cu Kα. Structure: a PBE-relaxed structure.
Neutral-atom scattering factors, no anomalous dispersion.

Main lines, sorted by position (10° ≤ 2θ ≤ 80°):
2θ 26.42, rel. 35
2θ 29.66, rel. 37
2θ 30.17, rel. 43
2θ 31.75, rel. 100
2θ 33.25, rel. 37
2θ 36.02, rel. 42
2θ 40.05, rel. 36
2θ 42.14, rel. 35

Structure:
```
PmTh2Te5
1.0
8.8862 0.0000 0.0000
0.0000 13.8536 0.0000
0.0000 0.0000 4.2883
Pm Th Te
2 4 10
Cartesian
0.0000 0.0000 0.0000 Pm
4.4431 6.9268 0.0000 Pm
0.1679 4.4472 2.1442 Th
4.2752 11.3741 2.1442 Th
4.6110 2.4796 2.1442 Th
8.7183 9.4064 2.1442 Th
0.0000 6.9268 0.0000 Te
1.5421 1.5545 2.1442 Te
1.6684 11.1761 0.0000 Te
2.7747 4.2493 0.0000 Te
2.9010 8.4814 2.1442 Te
4.4431 0.0000 0.0000 Te
5.9852 5.3723 2.1442 Te
6.1115 9.6044 0.0000 Te
7.2178 2.6775 0.0000 Te
7.3441 12.2991 2.1442 Te
```

---

3.
This entry pairs a crystal structure of LiPm3Te3 with its simulated powder diffractogram. Radiation: Cu Kα. Structure: a PBE-relaxed structure.
Neutral-atom scattering factors, no anomalous dispersion.

Main lines, sorted by position (10° ≤ 2θ ≤ 80°):
2θ 28.34, rel. 52
2θ 29.96, rel. 70
2θ 30.97, rel. 100
2θ 32.21, rel. 35
2θ 35.00, rel. 54
2θ 35.27, rel. 85
2θ 40.20, rel. 36
2θ 40.39, rel. 63

Structure:
```
LiPm3Te3
1.0
12.5244 0.0000 0.0000
0.0000 4.4664 0.0000
0.0000 0.0000 14.2520
Li Pm Te
4 12 12
Cartesian
0.7215 1.1166 2.6702 Li
5.5407 3.3498 9.7962 Li
6.9836 1.1166 4.4558 Li
11.8029 3.3498 11.5818 Li
0.6544 1.1166 8.7025 Pm
1.7421 3.3498 14.1377 Pm
2.7604 3.3498 3.8714 Pm
3.5018 1.1166 10.9974 Pm
4.5201 1.1166 7.0117 Pm
5.6078 3.3498 1.5765 Pm
6.9166 1.1166 12.6755 Pm
8.0043 3.3498 7.2403 Pm
9.0226 3.3498 3.2546 Pm
9.7640 1.1166 10.3806 Pm
10.7823 1.1166 0.1143 Pm
11.8700 3.3498 5.5495 Pm
0.5449 1.1166 12.0624 Te
1.6004 1.1166 5.7407 Te
2.9729 3.3498 8.8081 Te
3.2893 1.1166 1.6821 Te
4.6618 3.3498 12.8667 Te
5.7172 3.3498 4.9364 Te
6.8071 1.1166 9.3156 Te
7.8625 1.1166 1.3853 Te
9.2351 3.3498 12.5699 Te
9.5514 1.1166 5.4439 Te
10.9240 3.3498 8.5113 Te
11.9794 3.3498 2.1896 Te
```

---

4.
This entry pairs a crystal structure of Na2VFe with its simulated powder diffractogram. Radiation: Cu Kα. Structure: a PBE-relaxed structure.
Neutral-atom scattering factors, no anomalous dispersion.

Main lines, sorted by position (10° ≤ 2θ ≤ 80°):
2θ 22.03, rel. 1
2θ 25.50, rel. 19
2θ 36.37, rel. 100
2θ 44.94, rel. 5
2θ 52.38, rel. 16
2θ 59.13, rel. 6
2θ 65.44, rel. 30
2θ 77.24, rel. 9

Structure:
```
Na2VFe
1.0
0.0000 3.4937 3.4937
3.4937 0.0000 3.4937
3.4937 3.4937 0.0000
Na V Fe
2 1 1
Cartesian
1.7468 1.7468 1.7468 Na
5.2405 5.2405 5.2405 Na
0.0000 0.0000 0.0000 V
3.4937 3.4937 3.4937 Fe
```

---

5.
This entry pairs a crystal structure of SiSnS3 with its simulated powder diffractogram. Radiation: Cu Kα. Structure: a PBE-relaxed structure.
Neutral-atom scattering factors, no anomalous dispersion.

Main lines, sorted by position (10° ≤ 2θ ≤ 80°):
2θ 11.91, rel. 100
2θ 20.56, rel. 66
2θ 21.67, rel. 38
2θ 22.18, rel. 53
2θ 22.90, rel. 41
2θ 27.91, rel. 37
2θ 32.00, rel. 61
2θ 36.59, rel. 46

Structure:
```
SiSnS3
1.0
7.7174 0.0000 0.0000
0.0000 10.6215 0.0000
-1.8127 0.0000 6.4553
Si Sn S
4 4 12
Cartesian
1.5703 2.3280 0.1228 Si
0.6639 2.9828 3.3504 Si
5.2407 7.6387 3.1049 Si
4.3344 8.2935 6.3326 Si
2.4977 6.0299 1.3963 Sn
1.5913 9.9023 4.6239 Sn
4.3134 0.7192 1.8314 Sn
3.4070 4.5916 5.0591 Sn
-1.0707 2.5006 4.5732 S
-0.1644 2.8101 1.3455 S
2.0961 0.2860 0.4735 S
1.1898 5.0247 3.7012 S
2.3437 1.7987 3.8620 S
3.2501 3.5120 0.6343 S
2.6546 7.1095 5.8210 S
3.5609 8.8228 2.5933 S
4.7149 5.5968 2.7541 S
3.8085 10.3354 5.9818 S
6.0690 7.8114 5.1098 S
6.9754 8.1209 1.8821 S
```

---

6.
This entry pairs a crystal structure of PmZrSe3 with its simulated powder diffractogram. Radiation: Cu Kα. Structure: a PBE-relaxed structure.
Neutral-atom scattering factors, no anomalous dispersion.

Main lines, sorted by position (10° ≤ 2θ ≤ 80°):
2θ 21.48, rel. 15
2θ 31.29, rel. 25
2θ 32.30, rel. 22
2θ 33.45, rel. 100
2θ 36.26, rel. 35
2θ 38.58, rel. 19
2θ 40.03, rel. 22
2θ 47.01, rel. 23

Structure:
```
PmZrSe3
1.0
8.6244 0.0000 0.0000
0.0000 3.8663 0.0000
0.0000 0.0000 14.6329
Pm Zr Se
4 4 12
Cartesian
1.2037 0.9666 2.8514 Pm
3.1085 2.8997 10.1679 Pm
5.5159 0.9666 4.4650 Pm
7.4207 2.8997 11.7815 Pm
1.4318 2.8997 6.7591 Zr
2.8804 0.9666 14.0755 Zr
5.7439 2.8997 0.5574 Zr
7.1926 0.9666 7.8739 Zr
0.0824 2.8997 9.0751 Se
1.3494 2.8997 0.6122 Se
1.3543 0.9666 11.7405 Se
2.9579 2.8997 4.4241 Se
2.9628 0.9666 7.9287 Se
4.2298 0.9666 1.7586 Se
4.3946 2.8997 12.8743 Se
5.6616 2.8997 6.7043 Se
5.6664 0.9666 10.2089 Se
7.2701 2.8997 2.8924 Se
7.2750 0.9666 14.0207 Se
8.5420 0.9666 5.5579 Se
```

---

7.
This entry pairs a crystal structure of K2LiLa4O7 with its simulated powder diffractogram. Radiation: Cu Kα. Structure: a PBE-relaxed structure.
Neutral-atom scattering factors, no anomalous dispersion.

Main lines, sorted by position (10° ≤ 2θ ≤ 80°):
2θ 11.64, rel. 76
2θ 20.71, rel. 31
2θ 26.14, rel. 100
2θ 27.38, rel. 49
2θ 27.60, rel. 45
2θ 29.04, rel. 45
2θ 29.67, rel. 43
2θ 38.77, rel. 24

Structure:
```
K2LiLa4O7
1.0
3.0896 -6.1435 0.0000
3.0896 6.1435 0.0000
-0.7178 0.0000 7.6004
K Li La O
2 1 4 7
Cartesian
0.0000 0.0000 0.0000 K
3.0896 -1.0593 0.0000 K
2.7308 4.6235 3.8002 Li
2.5471 2.6101 1.9638 La
2.9144 2.6101 5.6365 La
2.7308 -0.9980 3.8002 La
2.7308 -4.9733 3.8002 La
1.2588 3.1239 4.0404 O
3.0896 3.4737 0.0000 O
0.6933 -0.4908 5.0437 O
1.6832 0.5312 2.2724 O
4.2027 3.1239 3.5600 O
3.7783 0.5312 5.3280 O
4.7682 -0.4908 2.5566 O
```

---

8.
This entry pairs a crystal structure of CaY4Ag4O12 with its simulated powder diffractogram. Radiation: Cu Kα. Structure: a PBE-relaxed structure.
Neutral-atom scattering factors, no anomalous dispersion.

Main lines, sorted by position (10° ≤ 2θ ≤ 80°):
2θ 18.98, rel. 22
2θ 24.51, rel. 90
2θ 28.38, rel. 48
2θ 31.47, rel. 100
2θ 31.88, rel. 68
2θ 37.15, rel. 21
2θ 48.31, rel. 21
2θ 52.10, rel. 21

Structure:
```
CaY4Ag4O12
1.0
6.2930 0.0000 0.0000
0.0000 7.0213 0.0000
-0.2575 0.0000 7.2629
Ca Y Ag O
1 4 4 12
Cartesian
0.0000 0.0000 0.0000 Ca
2.7143 0.0000 1.9500 Y
3.2329 3.5107 2.5645 Y
5.2557 0.0000 4.4329 Y
5.2233 3.5107 6.1729 Y
2.3939 1.7068 5.8902 Ag
2.3939 5.3145 5.8902 Ag
6.1686 2.0074 2.2415 Ag
6.1686 5.0140 2.2415 Ag
0.3682 1.7447 5.5680 O
0.3682 5.2766 5.5680 O
0.5086 0.0000 2.6750 O
1.8646 2.0434 1.6135 O
1.8646 4.9779 1.6135 O
2.0322 0.0000 6.9642 O
3.0218 3.5107 4.9759 O
4.2225 1.4352 3.0438 O
4.2225 5.5862 3.0438 O
4.3883 1.3968 6.1691 O
4.3883 5.6246 6.1691 O
5.0394 3.5107 1.0957 O
```

---

9.
This entry pairs a crystal structure of Ba6GaPd2 with its simulated powder diffractogram. Radiation: Cu Kα. Structure: a PBE-relaxed structure.
Neutral-atom scattering factors, no anomalous dispersion.

Main lines, sorted by position (10° ≤ 2θ ≤ 80°):
2θ 11.60, rel. 31
2θ 28.19, rel. 100
2θ 31.28, rel. 66
2θ 36.90, rel. 58
2θ 44.83, rel. 25
2θ 53.80, rel. 31
2θ 58.14, rel. 22
2θ 59.41, rel. 28

Structure:
```
Ba6GaPd2
1.0
0.0000 7.6285 8.5839
2.8572 0.0000 8.5839
2.8572 7.6285 0.0000
Ba Ga Pd
6 1 2
Cartesian
2.8572 5.7897 2.9308 Ba
2.8572 9.4673 2.9308 Ba
2.8572 5.7182 8.5839 Ba
2.8572 9.5388 8.5839 Ba
2.8572 5.7897 14.2370 Ba
2.8572 9.4673 14.2370 Ba
0.0000 0.0000 0.0000 Ga
2.8572 7.6285 5.8540 Pd
2.8572 7.6285 11.3138 Pd
```

---

10.
This entry pairs a crystal structure of LaDy2Al9 with its simulated powder diffractogram. Radiation: Cu Kα. Structure: a PBE-relaxed structure.
Neutral-atom scattering factors, no anomalous dispersion.

Main lines, sorted by position (10° ≤ 2θ ≤ 80°):
2θ 18.52, rel. 80
2θ 29.98, rel. 87
2θ 31.81, rel. 91
2θ 32.80, rel. 54
2θ 37.06, rel. 46
2θ 37.98, rel. 100
2θ 55.55, rel. 32
2θ 62.29, rel. 34

Structure:
```
LaDy2Al9
1.0
2.8127 1.6239 8.7909
-2.8127 1.6239 8.7909
0.0000 -3.2479 8.7909
La Dy Al
1 2 9
Cartesian
0.0000 0.0000 0.0000 La
0.0000 0.0000 3.7309 Dy
0.0000 0.0000 22.6418 Dy
-1.4384 -0.8305 11.0089 Al
0.0000 0.0000 8.8520 Al
0.0000 -1.6610 15.3637 Al
-1.4384 0.8305 15.3637 Al
0.0000 0.0000 13.1863 Al
1.4384 -0.8305 11.0089 Al
0.0000 1.6610 11.0089 Al
0.0000 0.0000 17.5206 Al
1.4384 0.8305 15.3637 Al
```

---

11.
This entry pairs a crystal structure of K2CuAg2 with its simulated powder diffractogram. Radiation: Cu Kα. Structure: a PBE-relaxed structure.
Neutral-atom scattering factors, no anomalous dispersion.

Main lines, sorted by position (10° ≤ 2θ ≤ 80°):
2θ 16.19, rel. 43
2θ 28.16, rel. 13
2θ 32.66, rel. 100
2θ 40.24, rel. 21
2θ 43.66, rel. 25
2θ 52.79, rel. 18
2θ 58.34, rel. 13
2θ 74.10, rel. 8

Structure:
```
K2CuAg2
1.0
7.0866 0.0000 0.0000
0.0000 7.0866 0.0000
0.0000 0.0000 5.4762
K Cu Ag
4 2 4
Cartesian
1.2630 2.2803 0.0000 K
2.2803 5.8236 0.0000 K
4.8063 1.2630 0.0000 K
5.8236 4.8063 0.0000 K
0.0000 0.0000 2.7381 Cu
3.5433 3.5433 2.7381 Cu
1.0165 4.5598 2.7381 Ag
2.5268 1.0165 2.7381 Ag
4.5598 6.0701 2.7381 Ag
6.0701 2.5268 2.7381 Ag
```

---

12.
This entry pairs a crystal structure of TaTePIrPtPb with its simulated powder diffractogram. Radiation: Cu Kα. Structure: a PBE-relaxed structure.
Neutral-atom scattering factors, no anomalous dispersion.

Main lines, sorted by position (10° ≤ 2θ ≤ 80°):
2θ 13.56, rel. 47
2θ 31.25, rel. 33
2θ 33.95, rel. 29
2θ 34.35, rel. 57
2θ 36.94, rel. 100
2θ 39.44, rel. 32
2θ 42.12, rel. 53
2θ 49.97, rel. 29

Structure:
```
TaTePIrPtPb
1.0
5.4041 0.0000 0.0000
0.0000 3.6507 0.0000
-1.4199 0.0000 6.5280
Ta Te P Ir Pt Pb
1 1 1 1 1 1
Cartesian
0.0000 0.0000 0.0000 Ta
0.5377 1.8253 2.1326 Te
1.0667 0.0000 6.1421 P
2.3106 1.8253 5.3771 Ir
-0.4168 1.8253 4.8304 Pt
3.2168 0.0000 3.0854 Pb
```